Record 1
LaNiSn2Pd: theoretical X-ray diffraction stick pattern (Cu Kα (λ = 1.5418 Å)), based on a structure optimized by DFT (PBE).

Peak list (12 most intense, 2θ from 10° to 80°, by angle)
2θ 27.76, d 3.214, I 23.7; 2θ 31.98, d 2.799, I 83.9; 2θ 32.53, d 2.752, I 100.0; 2θ 39.66, d 2.273, I 86.9; 2θ 44.16, d 2.051, I 32.2; 2θ 47.10, d 1.930, I 24.4; 2θ 51.82, d 1.764, I 43.3; 2θ 57.33, d 1.607, I 29.5; 2θ 59.46, d 1.554, I 16.7; 2θ 63.22, d 1.471, I 20.2; 2θ 67.49, d 1.388, I 24.0; 2θ 75.10, d 1.265, I 18.5

Structure:
```
data_LaNiSn2Pd
_chemical_formula_sum 'La2 Ni2 Sn4 Pd2'
_space_group_name_H-M_alt 'P 4/n m m'
_space_group_IT_number 129
_cell_length_a 4.545
_cell_length_b 4.545
_cell_length_c 10.656
_cell_angle_alpha 90.00
_cell_angle_beta 90.00
_cell_angle_gamma 90.00
loop_
_space_group_symop_operation_xyz
'x,y,z'
'-x,-y,-z'
'-y+1/2,x,z'
'y+1/2,-x,-z'
'-x+1/2,-y+1/2,z'
'x+1/2,y+1/2,-z'
'y,-x+1/2,z'
'-y,x+1/2,-z'
'x+1/2,-y,-z'
'-x+1/2,y,z'
'-y,-x,-z'
'y,x,z'
'-x,y+1/2,-z'
'x,-y+1/2,z'
'y+1/2,x+1/2,-z'
'-y+1/2,-x+1/2,z'
loop_
_atom_site_label
_atom_site_type_symbol
_atom_site_fract_x
_atom_site_fract_y
_atom_site_fract_z
La1 La 0.250 0.250 0.234
Ni1 Ni 0.250 0.750 0.000
Sn1 Sn 0.250 0.250 0.888
Sn2 Sn 0.250 0.750 0.500
Pd1 Pd 0.250 0.250 0.640
```



Record 2
La2PrNiPt8: theoretical X-ray diffraction stick pattern (Cu Kα (λ = 1.5418 Å)), based on a structure optimized by DFT (PBE).

Peak list (12 most intense, 2θ from 10° to 80°, by angle)
2θ 19.00, d 4.671, I 16.5; 2θ 30.18, d 2.961, I 17.2; 2θ 32.69, d 2.740, I 14.6; 2θ 38.08, d 2.363, I 45.6; 2θ 38.66, d 2.329, I 100.0; 2θ 40.37, d 2.234, I 27.8; 2θ 40.81, d 2.211, I 29.1; 2θ 41.70, d 2.166, I 51.3; 2θ 42.02, d 2.150, I 18.6; 2θ 62.35, d 1.489, I 24.8; 2θ 62.50, d 1.486, I 16.4; 2θ 68.50, d 1.370, I 30.6

Structure:
```
data_La2PrNiPt8
_chemical_formula_sum 'La6 Pr3 Ni3 Pt24'
_space_group_name_H-M_alt 'R -3 m'
_space_group_IT_number 166
_space_group_name_Hall '-R 3 2"'
_cell_length_a 5.4794
_cell_length_b 5.4794
_cell_length_c 26.5310
_cell_angle_alpha 90.00
_cell_angle_beta 90.00
_cell_angle_gamma 120.00
loop_
_atom_site_label
_atom_site_type_symbol
_atom_site_fract_x
_atom_site_fract_y
_atom_site_fract_z
La1 La 0.0000 0.0000 0.1401
Pr1 Pr 0.0000 0.0000 0.0000
Ni1 Ni 0.0000 0.0000 0.5000
Pt1 Pt 0.0000 0.0000 0.3324
Pt2 Pt 0.9998 0.4999 0.0865
```



Record 3
La2PrNi7Pt2: theoretical X-ray diffraction stick pattern (Cu Kα (λ = 1.5418 Å)), based on a structure optimized by DFT (PBE).

Peak list (12 most intense, 2θ from 10° to 80°, by angle)
2θ 10.43, d 8.479, I 25.2; 2θ 20.95, d 4.239, I 13.5; 2θ 31.70, d 2.823, I 21.6; 2θ 34.78, d 2.579, I 56.6; 2θ 40.96, d 2.203, I 100.0; 2θ 42.65, d 2.120, I 14.0; 2θ 44.10, d 2.054, I 15.4; 2θ 44.29, d 2.045, I 17.2; 2θ 47.74, d 1.905, I 18.9; 2θ 65.92, d 1.417, I 17.6; 2θ 66.55, d 1.405, I 25.0; 2θ 73.43, d 1.290, I 18.1

Structure:
```
data_La2PrNi7Pt2
_chemical_formula_sum 'La6 Pr3 Ni21 Pt6'
_space_group_name_H-M_alt 'R -3 m'
_space_group_IT_number 166
_space_group_name_Hall '-R 3 2"'
_cell_length_a 5.1583
_cell_length_b 5.1583
_cell_length_c 25.4364
_cell_angle_alpha 90.00
_cell_angle_beta 90.00
_cell_angle_gamma 120.00
loop_
_atom_site_label
_atom_site_type_symbol
_atom_site_fract_x
_atom_site_fract_y
_atom_site_fract_z
La1 La 0.0000 0.0000 0.1388
Pr1 Pr 0.0000 0.0000 0.0000
Ni1 Ni 0.0000 0.0000 0.5000
Ni2 Ni 0.0026 0.5013 0.0846
Pt1 Pt 0.0000 0.0000 0.3321
```



Record 4
LaPrSi2Ni2: theoretical X-ray diffraction stick pattern (Cu Kα (λ = 1.5418 Å)), based on a structure optimized by DFT (PBE).

Peak list (12 most intense, 2θ from 10° to 80°, by angle)
2θ 25.05, d 3.555, I 100.0; 2θ 30.47, d 2.934, I 31.1; 2θ 33.19, d 2.700, I 54.8; 2θ 33.80, d 2.652, I 71.1; 2θ 40.37, d 2.234, I 85.0; 2θ 43.63, d 2.075, I 59.4; 2θ 50.97, d 1.792, I 29.8; 2θ 56.31, d 1.634, I 32.4; 2θ 57.93, d 1.592, I 25.8; 2θ 60.08, d 1.540, I 23.6; 2θ 75.24, d 1.263, I 23.8; 2θ 77.91, d 1.226, I 23.3

Structure:
```
data_LaPrSi2Ni2
_chemical_formula_sum 'La1 Pr1 Si2 Ni2'
_space_group_name_H-M_alt 'P 4 m m'
_space_group_IT_number 99
_cell_length_a 4.149
_cell_length_b 4.149
_cell_length_c 6.896
_cell_angle_alpha 90.00
_cell_angle_beta 90.00
_cell_angle_gamma 90.00
loop_
_space_group_symop_operation_xyz
'x,y,z'
'-y,x,z'
'-x,-y,z'
'y,-x,z'
'-x,y,z'
'y,x,z'
'x,-y,z'
'-y,-x,z'
loop_
_atom_site_label
_atom_site_type_symbol
_atom_site_fract_x
_atom_site_fract_y
_atom_site_fract_z
La1 La 0.000 0.000 0.000
Pr1 Pr 0.500 0.500 0.631
Si1 Si 0.000 0.000 0.493
Si2 Si 0.500 0.500 0.148
Ni1 Ni 0.000 0.500 0.318
```